1.
Starting from the PBE geometry in Alexandria, the powder X-ray diffraction pattern of SmIn2Te4 was calculated for Cu Kα, 1.54184 Å.
Lines closer than 0.1° are merged.

Atomic structure:
Lattice parameters (Å, degrees): 8.368 8.368 7.442 90.00 90.00 90.00
Space group I4/m (No. 87)
Asymmetric unit:
Sm 0.000 0.000 0.000 x2
In 0.000 0.500 0.250 x4
Te 0.184 0.303 0.500 x8

Most intense lines, 2θ = 10–90°, most intense first:
h k l  d_spacing  intensity
2 1 1  3.343  100
1 3 2  2.156  69
2 2 0  2.958  59
2 0 2  2.780  48
1 4 1  1.958  37
1 1 2  3.150  34
3 5 2  1.339  31
2 1 3  2.068  26
1 0 1  5.561  22
0 0 2  3.721  22

2.
Starting from the PBE geometry in Alexandria, the powder X-ray diffraction pattern of Nb2GaF11 was calculated for Cu Kα, 1.54184 Å.
Lines closer than 0.1° are merged.

Atomic structure:
Lattice parameters (Å, degrees): 8.257 10.542 11.154 90.00 90.00 90.00
Space group Ibam (No. 72)
Asymmetric unit:
Nb 0.105 0.183 0.000 x8
Ga 0.000 0.500 0.250 x4
F 0.000 0.000 0.000 x4
F 0.101 0.317 0.118 x16
F 0.130 0.206 0.500 x8
F 0.230 0.100 0.122 x16

Most intense lines, 2θ = 10–90°, most intense first:
h k l  d_spacing  intensity
1 1 2  4.233  100
2 1 1  3.635  96
0 2 2  3.831  72
0 0 2  5.577  69
1 3 4  2.112  48
1 2 1  4.128  43
1 5 2  1.918  30
1 3 0  3.233  24
3 2 3  2.040  20
4 2 0  1.922  19

3.
Starting from the PBE geometry in Alexandria, the powder X-ray diffraction pattern of YHf2ZrO was calculated for Cu Kα, 1.54184 Å.
Lines closer than 0.1° are merged.

Atomic structure:
Lattice parameters (Å, degrees): 4.516 4.516 4.829 90.00 90.00 90.00
Space group P4/mmm (No. 123)
Asymmetric unit:
Y 0.000 0.000 0.000 x1
Hf 0.000 0.500 0.500 x2
Zr 0.500 0.500 0.000 x1
O 0.000 0.000 0.500 x1

Most intense lines, 2θ = 10–90°, most intense first:
h k l  d_spacing  intensity
1 1 1  2.663  100
2 0 0  2.258  35
2 0 2  1.649  26
3 1 1  1.369  26
0 0 2  2.415  21
1 1 3  1.437  15
0 0 1  4.829  13
2 2 2  1.332  13
2 2 0  1.596  12
1 1 0  3.193  7

Please write out number 2 again, unchanged.
Starting from the PBE geometry in Alexandria, the powder X-ray diffraction pattern of Nb2GaF11 was calculated for Cu Kα, 1.54184 Å.
Lines closer than 0.1° are merged.

Atomic structure:
Lattice parameters (Å, degrees): 8.257 10.542 11.154 90.00 90.00 90.00
Space group Ibam (No. 72)
Asymmetric unit:
Nb 0.105 0.183 0.000 x8
Ga 0.000 0.500 0.250 x4
F 0.000 0.000 0.000 x4
F 0.101 0.317 0.118 x16
F 0.130 0.206 0.500 x8
F 0.230 0.100 0.122 x16

Most intense lines, 2θ = 10–90°, most intense first:
h k l  d_spacing  intensity
1 1 2  4.233  100
2 1 1  3.635  96
0 2 2  3.831  72
0 0 2  5.577  69
1 3 4  2.112  48
1 2 1  4.128  43
1 5 2  1.918  30
1 3 0  3.233  24
3 2 3  2.040  20
4 2 0  1.922  19